Starting from DFT lattice parameters and positions (PBE), the powder X-ray diffraction pattern of Rb10Hg4Au was simulated for Cu Kα.
No peak broadening, texture or thermal motion is included.

Structural model:
```
Rb10Hg4Au
1.0
3.0937 1.7862 25.5084
-3.0937 1.7862 25.5084
0.0000 -3.5723 25.5084
Rb Hg Au
10 4 1
Direct
0.0467 0.0467 0.0467
0.1500 0.1500 0.1500
0.2515 0.2515 0.2515
0.3473 0.3473 0.3473
0.4485 0.4485 0.4485
0.5515 0.5515 0.5515
0.6527 0.6527 0.6527
0.7485 0.7485 0.7485
0.8500 0.8500 0.8500
0.9533 0.9533 0.9533
0.2007 0.2007 0.2007
0.3980 0.3980 0.3980
0.6020 0.6020 0.6020
0.7993 0.7993 0.7993
0.0000 0.0000 0.0000
```

Top 6 peaks for 2θ from 10° to 90°, by intensity:
| d (Å) | Rel. int. |
| --- | --- |
| 3.094 | 1000 |
| 3.114 | 968 |
| 5.057 | 921 |
| 2.643 | 551 |
| 1.790 | 391 |
| 2.195 | 366 |